# 1
This entry pairs a crystal structure of Th6TlTc2 with its theoretical PXRD pattern. Radiation: Cu Kα (weighted mean of Kα1 and Kα2). Structure: a structure optimized by DFT (GGA-PBE).
Kinematic intensities with the Lorentz-polarization factor, no thermal factor.

The 10 most intense peaks (2θ from 10° to 80°), sorted by position:
25.9°, I = 225; 29.8°, I = 313; 30.9°, I = 1000; 32.1°, I = 436; 33.4°, I = 677; 34.5°, I = 379; 34.9°, I = 275; 37.5°, I = 473; 57.0°, I = 211; 58.9°, I = 447

Atomic structure:
```
Th6TlTc2
1.0
-4.7341 4.8625 5.5216
4.7341 -4.8625 5.5216
4.7341 4.8625 -5.5216
Th Tl Tc
12 2 4
direct
0.0334 0.2387 0.7947
0.1842 0.2966 0.4808
0.1842 0.7034 0.8876
0.3319 0.0248 0.6928
0.3319 0.6391 0.3072
0.4440 0.2387 0.2053
0.5560 0.7613 0.7947
0.6681 0.3609 0.6928
0.6681 0.9752 0.3072
0.8158 0.2966 0.1124
0.8158 0.7034 0.5192
0.9666 0.7613 0.2053
0.0000 0.0000 0.0000
0.5000 0.5000 0.0000
0.1360 0.6360 0.5000
0.3325 0.0000 0.3325
0.6675 0.0000 0.6675
0.8640 0.3640 0.5000
```

***

# 2
This entry pairs a crystal structure of Ac3ZnPd9Pb2 with its theoretical PXRD pattern. Radiation: Cu Kα (weighted mean of Kα1 and Kα2). Structure: a structure optimized by DFT (GGA-PBE).
Kinematic intensities with the Lorentz-polarization factor, no thermal factor.

The 10 most intense peaks (2θ from 10° to 80°), sorted by position:
18.8°, I = 245; 24.1°, I = 243; 25.8°, I = 556; 31.4°, I = 387; 32.2°, I = 248; 35.6°, I = 1000; 44.5°, I = 364; 49.3°, I = 190; 53.1°, I = 286; 67.3°, I = 301

Atomic structure:
```
Ac3ZnPd9Pb2
1.0
6.8939 0.0000 0.0000
-3.4470 5.9703 0.0000
0.0000 0.0000 9.4228
Ac Zn Pd Pb
3 1 9 2
direct
0.0000 0.0000 0.0000
0.3333 0.6667 0.7310
0.6667 0.3333 0.2690
0.0000 0.0000 0.5000
0.0000 0.5000 0.0000
0.1290 0.2581 0.2863
0.1290 0.8710 0.2863
0.2581 0.1290 0.7137
0.5000 0.0000 0.0000
0.5000 0.5000 0.0000
0.7419 0.8710 0.2863
0.8710 0.1290 0.7137
0.8710 0.7419 0.7137
0.3333 0.6667 0.1985
0.6667 0.3333 0.8015
```

***

# 3
This entry pairs a crystal structure of Ho8Ga2Pb with its theoretical PXRD pattern. Radiation: Cu Kα (weighted mean of Kα1 and Kα2). Structure: a structure optimized by DFT (GGA-PBE).
Kinematic intensities with the Lorentz-polarization factor, no thermal factor.

The 10 most intense peaks (2θ from 10° to 80°), sorted by position:
29.3°, I = 184; 32.5°, I = 1000; 32.7°, I = 870; 35.5°, I = 361; 36.9°, I = 405; 40.8°, I = 183; 52.2°, I = 243; 56.1°, I = 144; 61.8°, I = 141; 63.7°, I = 145

Atomic structure:
```
Ho8Ga2Pb
1.0
8.3785 -2.4363 0.0000
8.3785 2.4363 0.0000
-2.8561 0.0000 7.3390
Ho Ga Pb
8 2 1
direct
0.0504 0.0504 0.2311
0.1675 0.1675 0.7468
0.3205 0.3205 0.5528
0.3979 0.3979 0.0389
0.6021 0.6021 0.9611
0.6795 0.6795 0.4472
0.8325 0.8325 0.2532
0.9496 0.9496 0.7689
0.2160 0.2160 0.1618
0.7840 0.7840 0.8382
0.5000 0.5000 0.5000
```

***

# 4
This entry pairs a crystal structure of ThAlCo2C with its theoretical PXRD pattern. Radiation: Cu Kα (weighted mean of Kα1 and Kα2). Structure: a structure optimized by DFT (GGA-PBE).
Kinematic intensities with the Lorentz-polarization factor, no thermal factor.

The 10 most intense peaks (2θ from 10° to 80°), sorted by position:
20.8°, I = 310; 23.9°, I = 307; 27.2°, I = 254; 30.9°, I = 241; 33.4°, I = 246; 35.4°, I = 517; 35.6°, I = 1000; 36.0°, I = 743; 43.0°, I = 249; 45.7°, I = 245

Atomic structure:
```
ThAlCo2C
1.0
1.9842 -5.4625 0.0000
1.9842 5.4625 0.0000
0.0000 0.0000 6.8382
Th Al Co C
2 2 4 2
direct
0.0645 0.9355 0.7500
0.9355 0.0645 0.2500
0.2183 0.7817 0.2500
0.7817 0.2183 0.7500
0.3410 0.6590 0.5559
0.3410 0.6590 0.9441
0.6590 0.3410 0.0559
0.6590 0.3410 0.4441
0.5000 0.5000 0.0000
0.5000 0.5000 0.5000
```

***

# 5
This entry pairs a crystal structure of In2Ag2PbBr6 with its theoretical PXRD pattern. Radiation: Cu Kα (weighted mean of Kα1 and Kα2). Structure: a structure optimized by DFT (GGA-PBE).
Kinematic intensities with the Lorentz-polarization factor, no thermal factor.

The 10 most intense peaks (2θ from 10° to 80°), sorted by position:
15.7°, I = 301; 20.8°, I = 339; 21.6°, I = 822; 21.8°, I = 386; 25.9°, I = 1000; 31.7°, I = 378; 32.4°, I = 448; 36.3°, I = 365; 43.5°, I = 304; 44.4°, I = 316

Atomic structure:
```
In2Ag2PbBr6
1.0
7.1971 -4.0791 0.0000
7.1971 4.0791 0.0000
-3.9213 0.0000 6.7870
In Ag Pb Br
2 2 1 6
direct
0.2441 0.2441 0.1775
0.7559 0.7559 0.8225
0.4369 0.4369 0.7820
0.5631 0.5631 0.2180
0.0000 0.0000 0.5000
0.1821 0.6730 0.1702
0.2287 0.2287 0.5794
0.3270 0.8179 0.8298
0.6730 0.1821 0.1702
0.7713 0.7713 0.4206
0.8179 0.3270 0.8298
```

***

# 6
This entry pairs a crystal structure of Sm4TlCu3 with its theoretical PXRD pattern. Radiation: Cu Kα (weighted mean of Kα1 and Kα2). Structure: a structure optimized by DFT (GGA-PBE).
Kinematic intensities with the Lorentz-polarization factor, no thermal factor.

The 10 most intense peaks (2θ from 10° to 80°), sorted by position:
21.2°, I = 40; 24.5°, I = 43; 26.7°, I = 41; 32.0°, I = 54; 34.9°, I = 1000; 41.2°, I = 23; 50.2°, I = 170; 62.6°, I = 335; 66.5°, I = 36; 73.7°, I = 99

Atomic structure:
```
Sm4TlCu3
1.0
2.5716 1.4847 8.3959
-2.5716 1.4847 8.3959
0.0000 -2.9694 8.3959
Sm Tl Cu
4 1 3
direct
0.1175 0.1175 0.1175
0.3685 0.3685 0.3685
0.6315 0.6315 0.6315
0.8825 0.8825 0.8825
0.5000 0.5000 0.5000
0.0000 0.0000 0.0000
0.2458 0.2458 0.2458
0.7542 0.7542 0.7542
```

***

Please write out number 5 again, unchanged.
This entry pairs a crystal structure of In2Ag2PbBr6 with its theoretical PXRD pattern. Radiation: Cu Kα (weighted mean of Kα1 and Kα2). Structure: a structure optimized by DFT (GGA-PBE).
Kinematic intensities with the Lorentz-polarization factor, no thermal factor.

The 10 most intense peaks (2θ from 10° to 80°), sorted by position:
15.7°, I = 301; 20.8°, I = 339; 21.6°, I = 822; 21.8°, I = 386; 25.9°, I = 1000; 31.7°, I = 378; 32.4°, I = 448; 36.3°, I = 365; 43.5°, I = 304; 44.4°, I = 316

Atomic structure:
```
In2Ag2PbBr6
1.0
7.1971 -4.0791 0.0000
7.1971 4.0791 0.0000
-3.9213 0.0000 6.7870
In Ag Pb Br
2 2 1 6
direct
0.2441 0.2441 0.1775
0.7559 0.7559 0.8225
0.4369 0.4369 0.7820
0.5631 0.5631 0.2180
0.0000 0.0000 0.5000
0.1821 0.6730 0.1702
0.2287 0.2287 0.5794
0.3270 0.8179 0.8298
0.6730 0.1821 0.1702
0.7713 0.7713 0.4206
0.8179 0.3270 0.8298
```